Simulated powder X-ray diffraction pattern of Al3V7Re2 for Cu Kα, from a DFT-relaxed cell (PBE, Alexandria).

Structure:
Cell: 4.064 21.821 4.121 Å, 90.00 90.00 90.00°
Space group Cmmm (No. 65)
Symmetry-distinct sites (fractional):
Al1 0.000 0.000 0.000 x2
Al2 0.000 0.156 0.000 x4
V1 0.000 0.076 0.500 x4
V2 0.000 0.231 0.500 x4
V3 0.000 0.426 0.000 x4
V4 0.000 0.500 0.500 x2
Re1 0.000 0.355 0.500 x4

Top 12 peaks for 10 to 80 degrees two-theta, low angle first:
(0 4 0), 2θ 16.25, rel. 30
(0 0 1), 2θ 21.57, rel. 50
(1 1 0), 2θ 22.25, rel. 20
(1 3 0), 2θ 25.10, rel. 17
(1 3 1), 2θ 33.32, rel. 34
(1 7 0), 2θ 36.32, rel. 24
(1 7 1), 2θ 42.63, rel. 100
(0 0 2), 2θ 43.95, rel. 25
(2 0 0), 2θ 44.59, rel. 24
(1 7 2), 2θ 58.28, rel. 12
(2 0 2), 2θ 64.39, rel. 16
(1 7 3), 2θ 79.88, rel. 15


Simulated powder X-ray diffraction pattern of PmPr5Ho12 for Cu Kα, from a DFT-relaxed cell (PBE, Alexandria).

Structure:
Cell: 11.455 17.339 5.962 Å, 90.00 90.01 90.00°
Space group C2/m (No. 12)
Symmetry-distinct sites (fractional):
Pm1 0.000 0.000 0.000 x2
Pr1 0.000 0.166 0.500 x4
Pr2 0.000 0.334 0.000 x4
Pr3 0.000 0.500 0.500 x2
Ho1 0.178 0.000 0.444 x4
Ho2 0.178 0.167 0.052 x8
Ho3 0.178 0.333 0.448 x8
Ho4 0.180 0.500 0.055 x4

Top 12 peaks for 10 to 80 degrees two-theta, low angle first:
(0 0 2), 2θ 29.98, rel. 24
(0 6 0), 2θ 30.94, rel. 30
(3 3 -1), 2θ 31.85, rel. 100
(1 3 2), 2θ 34.76, rel. 16
(0 6 2), 2θ 43.62, rel. 17
(6 0 0), 2θ 47.63, rel. 8
(3 3 -3), 2θ 54.41, rel. 11
(3 9 -1), 2θ 55.61, rel. 21
(6 0 -2), 2θ 57.31, rel. 7
(6 6 0), 2θ 57.89, rel. 9
(6 6 -2), 2θ 66.56, rel. 9
(0 12 2), 2θ 72.72, rel. 8


Simulated powder X-ray diffraction pattern of AcPaSe2O8 for Cu Kα, from a DFT-relaxed cell (PBE, Alexandria).

Structure:
Cell: 7.509 7.509 6.854 Å, 90.00 90.00 90.00°
Space group I-4m2 (No. 119)
Symmetry-distinct sites (fractional):
Ac1 0.000 0.000 0.000 x2
Pa1 0.000 0.500 0.250 x2
Se1 0.000 0.000 0.500 x2
Se2 0.000 0.500 0.750 x2
O1 0.000 0.198 0.320 x8
O2 0.000 0.329 0.957 x8

Top 12 peaks for 10 to 80 degrees two-theta, low angle first:
(1 0 1), 2θ 17.52, rel. 42
(2 0 0), 2θ 23.70, rel. 100
(2 1 1), 2θ 29.62, rel. 14
(1 1 2), 2θ 31.06, rel. 81
(2 2 0), 2θ 33.76, rel. 27
(3 1 2), 2θ 46.53, rel. 67
(4 0 0), 2θ 48.49, rel. 16
(4 2 0), 2θ 54.66, rel. 17
(3 3 2), 2θ 58.71, rel. 20
(2 0 4), 2θ 59.28, rel. 16
(5 1 2), 2θ 69.47, rel. 17
(5 3 2), 2θ 79.51, rel. 14